Computed powder X-ray diffraction pattern of Li2CoC2O6 for Cu Kα X-rays, from a cell relaxed with PBE+U.
Peak positions follow from Bragg's law for the DFT cell and can differ from measured ones.

Crystal structure
```
Li2CoC2O6
1.0
7.5770 0.0000 0.0000
0.0000 9.7235 0.0000
-5.1077 0.0000 7.5668
Li Co C O
8 4 8 24
Direct
0.1353 0.1215 0.1431
0.1353 0.3785 0.6431
0.3441 0.6832 0.7105
0.3441 0.8168 0.2105
0.6559 0.1832 0.7895
0.6559 0.3168 0.2895
0.8647 0.6215 0.3569
0.8647 0.8785 0.8569
0.0396 0.1190 0.4522
0.0396 0.3810 0.9522
0.9604 0.6190 0.0478
0.9604 0.8810 0.5478
0.0103 0.1181 0.7690
0.0103 0.3819 0.2690
0.4240 0.5154 0.1976
0.4240 0.9846 0.6976
0.5760 0.0154 0.3024
0.5760 0.4846 0.8024
0.9897 0.6181 0.7310
0.9897 0.8819 0.2310
0.0156 0.0137 0.2521
0.0156 0.4863 0.7521
0.0211 0.6750 0.6171
0.0211 0.8250 0.1171
0.0602 0.1925 0.6812
0.0602 0.3075 0.1812
0.2931 0.6169 0.1615
0.2931 0.8831 0.6615
0.3545 0.1020 0.6119
0.3545 0.3980 0.1119
0.3768 0.0244 0.1836
0.3768 0.4756 0.6836
0.6232 0.5244 0.3164
0.6232 0.9756 0.8164
0.6455 0.6020 0.8881
0.6455 0.8980 0.3881
0.7069 0.1169 0.3385
0.7069 0.3831 0.8385
0.9398 0.6925 0.8188
0.9398 0.8075 0.3188
0.9789 0.1750 0.8829
0.9789 0.3250 0.3829
0.9844 0.5137 0.2479
0.9844 0.9863 0.7479
```

Peak list (6 most intense, 10° ≤ 2θ ≤ 90°, in order of falling intensity)
- d 6.280, 2θ 14.10, I = 100
- d 5.972, 2θ 14.83, I = 63
- d 4.559, 2θ 19.47, I = 38
- d 5.788, 2θ 15.31, I = 26
- d 3.140, 2θ 28.42, I = 23
- d 4.127, 2θ 21.53, I = 18

Computed powder X-ray diffraction pattern of LiCoCO4 for Cu Kα X-rays, from a cell relaxed with PBE+U.
Peak positions follow from Bragg's law for the DFT cell and can differ from measured ones.

Crystal structure
```
LiCoCO4
1.0
4.1113 -7.2595 0.0000
4.1113 7.2595 0.0000
0.0000 0.0000 5.7941
Li Co C O
4 4 4 16
Direct
0.0346 0.2081 0.0000
0.2081 0.0346 0.5000
0.7919 0.9654 0.5000
0.9654 0.7919 0.0000
0.2759 0.6957 0.7328
0.3043 0.7241 0.2328
0.6957 0.2759 0.2328
0.7241 0.3043 0.7328
0.1549 0.3578 0.4749
0.3578 0.1549 0.9749
0.6422 0.8451 0.9749
0.8451 0.6422 0.4749
0.0800 0.1820 0.4618
0.1620 0.7170 0.9978
0.1773 0.4359 0.6794
0.1820 0.0800 0.9618
0.2071 0.4579 0.2862
0.2830 0.8380 0.4978
0.4359 0.1773 0.1794
0.4579 0.2071 0.7862
0.5421 0.7929 0.7862
0.5641 0.8227 0.1794
0.7170 0.1620 0.4978
0.7929 0.5421 0.2862
0.8180 0.9200 0.9618
0.8227 0.5641 0.6794
0.8380 0.2830 0.9978
0.9200 0.8180 0.4618
```

Peak list (6 most intense, 10° ≤ 2θ ≤ 90°, in order of falling intensity)
- d 7.260, 2θ 12.19, I = 100
- d 3.577, 2θ 24.89, I = 68
- d 4.171, 2θ 21.30, I = 57
- d 2.721, 2θ 32.92, I = 35
- d 1.991, 2θ 45.56, I = 31
- d 2.379, 2θ 37.81, I = 25

Computed powder X-ray diffraction pattern of Li2CoC2O6 for Cu Kα X-rays, from a cell relaxed with PBE+U.
Peak positions follow from Bragg's law for the DFT cell and can differ from measured ones.

Crystal structure
```
Li2CoC2O6
1.0
6.4265 0.0000 0.0000
0.0091 7.9523 0.0000
2.2546 0.0025 9.4403
Li Co C O
8 4 8 24
Direct
0.0000 0.0000 0.0000
0.0520 0.8483 0.3051
0.2503 0.3409 0.2503
0.3046 0.4908 0.5570
0.5004 0.9992 0.5002
0.5535 0.8494 0.8062
0.7496 0.3406 0.7501
0.8029 0.4908 0.0561
0.0692 0.9220 0.6757
0.3194 0.4191 0.9260
0.5689 0.9216 0.1764
0.8203 0.4186 0.4264
0.0726 0.6627 0.8191
0.0923 0.1869 0.5338
0.3232 0.6786 0.0688
0.3415 0.1544 0.7838
0.5732 0.6614 0.3189
0.5912 0.1865 0.0338
0.8233 0.6785 0.5688
0.8418 0.1540 0.2841
0.0415 0.5232 0.8902
0.1213 0.3291 0.4647
0.1789 0.6666 0.6879
0.1841 0.0486 0.4776
0.2254 0.1623 0.9118
0.2430 0.5374 0.1251
0.2915 0.8184 0.1393
0.3698 0.0124 0.7143
0.4300 0.6739 0.9377
0.4334 0.2924 0.7276
0.4756 0.1791 0.1619
0.4936 0.8028 0.3749
0.5421 0.5216 0.3899
0.6199 0.3285 0.9640
0.6788 0.6656 0.1876
0.6824 0.0481 0.9779
0.7256 0.1619 0.4120
0.7434 0.5373 0.6251
0.7916 0.8184 0.6394
0.8694 0.0122 0.2143
0.9300 0.6739 0.4378
0.9348 0.2916 0.2284
0.9756 0.1790 0.6617
0.9929 0.8041 0.8749
```

Peak list (6 most intense, 10° ≤ 2θ ≤ 90°, in order of falling intensity)
- d 4.729, 2θ 18.77, I = 100
- d 4.061, 2θ 21.89, I = 51
- d 2.757, 2θ 32.48, I = 29
- d 2.454, 2θ 36.61, I = 16
- d 2.361, 2θ 38.11, I = 15
- d 2.312, 2θ 38.96, I = 15